Diffraction record for KGa2N. The powder diffractogram is calculated, not measured: it uses a structure optimized by DFT (GGA-PBE) and Cu Kα X-rays.
No peak broadening, texture or thermal motion is included.

Top 6 peaks for 2θ from 5° to 70°, low angle first:
- 2θ 18.81, d 4.718, I 726
- 2θ 25.62, d 3.477, I 1000
- 2θ 35.72, d 2.513, I 417
- 2θ 38.15, d 2.359, I 878
- 2θ 40.94, d 2.205, I 568
- 2θ 58.14, d 1.587, I 437

Structure:
```
data_KGa2N
_chemical_formula_sum 'K2 Ga4 N2'
_cell_length_a 8.0847
_cell_length_b 8.0847
_cell_length_c 8.0847
_cell_angle_alpha 144.07
_cell_angle_beta 144.07
_cell_angle_gamma 51.72
_symmetry_space_group_name_H-M 'P 1'
_symmetry_Int_Tables_number 1
_symmetry_space_group_name_Hall 'P 1'
loop_
_atom_site_label
_atom_site_type_symbol
_atom_site_fract_x
_atom_site_fract_y
_atom_site_fract_z
K1 K 0.3750 0.6250 0.7500
K2 K 0.6250 0.3750 0.2500
Ga1 Ga 0.0000 0.0000 0.0000
Ga2 Ga 0.0000 0.0000 0.5000
Ga3 Ga 0.0000 0.5000 0.0000
Ga4 Ga 0.5000 0.0000 0.5000
N1 N 0.1250 0.8750 0.2500
N2 N 0.8750 0.1250 0.7500
```



Diffraction record for Ga4Pd. The powder diffractogram is calculated, not measured: it uses a structure optimized by DFT (GGA-PBE) and Cu Kα X-rays.
No peak broadening, texture or thermal motion is included.

Top 6 peaks for 2θ from 5° to 70°, low angle first:
- 2θ 32.34, d 2.769, I 308
- 2θ 36.75, d 2.445, I 663
- 2θ 37.13, d 2.421, I 368
- 2θ 38.62, d 2.332, I 336
- 2θ 41.10, d 2.196, I 1000
- 2θ 45.11, d 2.010, I 415

Structure:
```
data_Ga4Pd
_chemical_formula_sum 'Ga8 Pd2'
_cell_length_a 5.2135
_cell_length_b 5.2135
_cell_length_c 6.5348
_cell_angle_alpha 90.00
_cell_angle_beta 90.00
_cell_angle_gamma 90.00
_symmetry_space_group_name_H-M 'P 1'
_symmetry_Int_Tables_number 1
_symmetry_space_group_name_Hall 'P 1'
loop_
_atom_site_label
_atom_site_type_symbol
_atom_site_fract_x
_atom_site_fract_y
_atom_site_fract_z
Ga1 Ga 0.1052 0.2599 0.3429
Ga2 Ga 0.2401 0.3948 0.8429
Ga3 Ga 0.2599 0.8948 0.6571
Ga4 Ga 0.3948 0.7599 0.1571
Ga5 Ga 0.6052 0.2401 0.1571
Ga6 Ga 0.7401 0.1052 0.6571
Ga7 Ga 0.7599 0.6052 0.8429
Ga8 Ga 0.8948 0.7401 0.3429
Pd1 Pd 0.0000 0.0000 0.0000
Pd2 Pd 0.5000 0.5000 0.5000
```



Diffraction record for Pr5Y4In4. The powder diffractogram is calculated, not measured: it uses a structure optimized by DFT (GGA-PBE) and Cu Kα X-rays.
No peak broadening, texture or thermal motion is included.

Top 6 peaks for 2θ from 5° to 70°, low angle first:
- 2θ 30.93, d 2.892, I 1000
- 2θ 31.79, d 2.815, I 167
- 2θ 34.12, d 2.628, I 228
- 2θ 34.76, d 2.581, I 260
- 2θ 36.40, d 2.468, I 160
- 2θ 59.94, d 1.543, I 146

Structure:
```
data_Pr5Y4In4
_chemical_formula_sum 'Pr5 Y4 In4'
_cell_length_a 9.2668
_cell_length_b 9.2668
_cell_length_c 9.2668
_cell_angle_alpha 94.45
_cell_angle_beta 94.45
_cell_angle_gamma 147.66
_symmetry_space_group_name_H-M 'P 1'
_symmetry_Int_Tables_number 1
_symmetry_space_group_name_Hall 'P 1'
loop_
_atom_site_label
_atom_site_type_symbol
_atom_site_fract_x
_atom_site_fract_y
_atom_site_fract_z
Pr1 Pr 0.0000 0.0000 0.0000
Pr2 Pr 0.3095 0.5995 0.9090
Pr3 Pr 0.4005 0.3095 0.7100
Pr4 Pr 0.5995 0.6905 0.2900
Pr5 Pr 0.6905 0.4005 0.0910
Y1 Y 0.0951 0.3926 0.4877
Y2 Y 0.3926 0.9049 0.2974
Y3 Y 0.6074 0.0951 0.7026
Y4 Y 0.9049 0.6074 0.5123
In1 In 0.1034 0.7612 0.8647
In2 In 0.2388 0.1034 0.3422
In3 In 0.7612 0.8966 0.6578
In4 In 0.8966 0.2388 0.1353
```



Diffraction record for Ba2GaGe3. The powder diffractogram is calculated, not measured: it uses a structure optimized by DFT (GGA-PBE) and Cu Kα X-rays.
No peak broadening, texture or thermal motion is included.

Top 6 peaks for 2θ from 5° to 70°, low angle first:
- 2θ 29.15, d 3.064, I 1000
- 2θ 29.41, d 3.037, I 496
- 2θ 36.11, d 2.487, I 262
- 2θ 40.56, d 2.224, I 380
- 2θ 50.39, d 1.811, I 217
- 2θ 55.42, d 1.658, I 298

Structure:
```
data_Ba2GaGe3
_chemical_formula_sum 'Ba4 Ga2 Ge6'
_cell_length_a 9.1408
_cell_length_b 8.8978
_cell_length_c 6.7157
_cell_angle_alpha 70.08
_cell_angle_beta 66.23
_cell_angle_gamma 43.69
_symmetry_space_group_name_H-M 'P 1'
_symmetry_Int_Tables_number 1
_symmetry_space_group_name_Hall 'P 1'
loop_
_atom_site_label
_atom_site_type_symbol
_atom_site_fract_x
_atom_site_fract_y
_atom_site_fract_z
Ba1 Ba 0.2418 0.7582 0.2418
Ba2 Ba 0.2500 0.2500 0.2500
Ba3 Ba 0.7500 0.7500 0.7500
Ba4 Ba 0.7582 0.2418 0.7582
Ga1 Ga 0.3346 0.3346 0.6654
Ga2 Ga 0.6654 0.6654 0.3346
Ge1 Ge 0.1680 0.1680 0.8320
Ge2 Ge 0.1717 0.6603 0.8283
Ge3 Ge 0.3397 0.8283 0.6603
Ge4 Ge 0.6603 0.1717 0.3397
Ge5 Ge 0.8283 0.3397 0.1717
Ge6 Ge 0.8320 0.8320 0.1680
```



Diffraction record for La2Sm2CoAg2. The powder diffractogram is calculated, not measured: it uses a structure optimized by DFT (GGA-PBE) and Cu Kα X-rays.
No peak broadening, texture or thermal motion is included.

Top 6 peaks for 2θ from 5° to 70°, low angle first:
- 2θ 28.40, d 3.143, I 770
- 2θ 29.94, d 2.984, I 358
- 2θ 33.95, d 2.641, I 1000
- 2θ 36.43, d 2.466, I 297
- 2θ 36.88, d 2.437, I 285
- 2θ 39.77, d 2.267, I 337

Structure:
```
data_La2Sm2CoAg2
_chemical_formula_sum 'La2 Sm2 Co1 Ag2'
_cell_length_a 7.6920
_cell_length_b 7.6920
_cell_length_c 7.6920
_cell_angle_alpha 145.72
_cell_angle_beta 128.31
_cell_angle_gamma 63.50
_symmetry_space_group_name_H-M 'P 1'
_symmetry_Int_Tables_number 1
_symmetry_space_group_name_Hall 'P 1'
loop_
_atom_site_label
_atom_site_type_symbol
_atom_site_fract_x
_atom_site_fract_y
_atom_site_fract_z
La1 La 0.1992 0.1992 0.0000
La2 La 0.8008 0.8008 0.0000
Sm1 Sm 0.2517 0.5000 0.7517
Sm2 Sm 0.7483 0.5000 0.2483
Co1 Co 0.0000 0.0000 0.0000
Ag1 Ag 0.3808 0.8808 0.5000
Ag2 Ag 0.6192 0.1192 0.5000
```



Diffraction record for Be2SbP. The powder diffractogram is calculated, not measured: it uses a structure optimized by DFT (GGA-PBE) and Cu Kα X-rays.
No peak broadening, texture or thermal motion is included.

Top 6 peaks for 2θ from 5° to 70°, low angle first:
- 2θ 12.03, d 7.354, I 780
- 2θ 24.21, d 3.677, I 479
- 2θ 31.13, d 2.873, I 1000
- 2θ 34.20, d 2.622, I 244
- 2θ 37.81, d 2.380, I 254
- 2θ 47.14, d 1.928, I 365

Structure:
```
data_Be2SbP
_chemical_formula_sum 'Be2 Sb1 P1'
_cell_length_a 3.2628
_cell_length_b 3.2628
_cell_length_c 7.3539
_cell_angle_alpha 90.00
_cell_angle_beta 90.00
_cell_angle_gamma 106.94
_symmetry_space_group_name_H-M 'P 1'
_symmetry_Int_Tables_number 1
_symmetry_space_group_name_Hall 'P 1'
loop_
_atom_site_label
_atom_site_type_symbol
_atom_site_fract_x
_atom_site_fract_y
_atom_site_fract_z
Be1 Be 0.0000 0.0000 0.0000
Be2 Be 0.5000 0.5000 0.1569
Sb1 Sb 0.5000 0.5000 0.7855
P1 P 0.0000 0.0000 0.2828
```



Diffraction record for ZrScNi. The powder diffractogram is calculated, not measured: it uses a structure optimized by DFT (GGA-PBE) and Cu Kα X-rays.
No peak broadening, texture or thermal motion is included.

Top 6 peaks for 2θ from 5° to 70°, low angle first:
- 2θ 34.23, d 2.620, I 687
- 2θ 36.27, d 2.477, I 1000
- 2θ 38.98, d 2.311, I 584
- 2θ 42.75, d 2.115, I 464
- 2θ 44.27, d 2.046, I 705
- 2θ 45.28, d 2.003, I 394

Structure:
```
data_ZrScNi
_chemical_formula_sum 'Zr2 Sc2 Ni2'
_cell_length_a 6.5295
_cell_length_b 5.4950
_cell_length_c 5.1284
_cell_angle_alpha 75.76
_cell_angle_beta 54.66
_cell_angle_gamma 49.58
_symmetry_space_group_name_H-M 'P 1'
_symmetry_Int_Tables_number 1
_symmetry_space_group_name_Hall 'P 1'
loop_
_atom_site_label
_atom_site_type_symbol
_atom_site_fract_x
_atom_site_fract_y
_atom_site_fract_z
Zr1 Zr 0.1687 0.8313 0.1687
Zr2 Zr 0.8313 0.1687 0.8313
Sc1 Sc 0.3418 0.3418 0.6582
Sc2 Sc 0.6582 0.6582 0.3418
Ni1 Ni 0.2500 0.2500 0.2500
Ni2 Ni 0.7500 0.7500 0.7500
```



Diffraction record for CaNd8Ho3. The powder diffractogram is calculated, not measured: it uses a structure optimized by DFT (GGA-PBE) and Cu Kα X-rays.
No peak broadening, texture or thermal motion is included.

Top 6 peaks for 2θ from 5° to 70°, low angle first:
- 2θ 30.22, d 2.958, I 573
- 2θ 30.99, d 2.886, I 366
- 2θ 31.14, d 2.872, I 722
- 2θ 32.73, d 2.736, I 1000
- 2θ 49.45, d 1.843, I 290
- 2θ 59.18, d 1.561, I 337

Structure:
```
data_CaNd8Ho3
_chemical_formula_sum 'Ca1 Nd8 Ho3'
_cell_length_a 3.6772
_cell_length_b 9.1351
_cell_length_c 12.7799
_cell_angle_alpha 76.23
_cell_angle_beta 89.95
_cell_angle_gamma 89.97
_symmetry_space_group_name_H-M 'P 1'
_symmetry_Int_Tables_number 1
_symmetry_space_group_name_Hall 'P 1'
loop_
_atom_site_label
_atom_site_type_symbol
_atom_site_fract_x
_atom_site_fract_y
_atom_site_fract_z
Ca1 Ca 0.0000 0.0000 0.0000
Nd1 Nd 0.9997 0.0062 0.4927
Nd2 Nd 0.0004 0.3303 0.6075
Nd3 Nd 0.9999 0.3385 0.1106
Nd4 Nd 0.4988 0.6704 0.6357
Nd5 Nd 0.4991 0.9940 0.7443
Nd6 Nd 0.5000 0.3436 0.8531
Nd7 Nd 0.4995 0.6580 0.1392
Nd8 Nd 0.9983 0.6695 0.3832
Ho1 Ho 0.4992 0.0030 0.2530
Ho2 Ho 0.5000 0.3333 0.3576
Ho3 Ho 0.9984 0.6618 0.8866
```



Question: Which formula does entry 3 have?
Answer: Pr5Y4In4



What did the fifth record say?
Diffraction record for La2Sm2CoAg2. The powder diffractogram is calculated, not measured: it uses a structure optimized by DFT (GGA-PBE) and Cu Kα X-rays.
No peak broadening, texture or thermal motion is included.

Top 6 peaks for 2θ from 5° to 70°, low angle first:
- 2θ 28.40, d 3.143, I 770
- 2θ 29.94, d 2.984, I 358
- 2θ 33.95, d 2.641, I 1000
- 2θ 36.43, d 2.466, I 297
- 2θ 36.88, d 2.437, I 285
- 2θ 39.77, d 2.267, I 337

Structure:
```
data_La2Sm2CoAg2
_chemical_formula_sum 'La2 Sm2 Co1 Ag2'
_cell_length_a 7.6920
_cell_length_b 7.6920
_cell_length_c 7.6920
_cell_angle_alpha 145.72
_cell_angle_beta 128.31
_cell_angle_gamma 63.50
_symmetry_space_group_name_H-M 'P 1'
_symmetry_Int_Tables_number 1
_symmetry_space_group_name_Hall 'P 1'
loop_
_atom_site_label
_atom_site_type_symbol
_atom_site_fract_x
_atom_site_fract_y
_atom_site_fract_z
La1 La 0.1992 0.1992 0.0000
La2 La 0.8008 0.8008 0.0000
Sm1 Sm 0.2517 0.5000 0.7517
Sm2 Sm 0.7483 0.5000 0.2483
Co1 Co 0.0000 0.0000 0.0000
Ag1 Ag 0.3808 0.8808 0.5000
Ag2 Ag 0.6192 0.1192 0.5000
```



Repeat the sixth record exactly.
Diffraction record for Be2SbP. The powder diffractogram is calculated, not measured: it uses a structure optimized by DFT (GGA-PBE) and Cu Kα X-rays.
No peak broadening, texture or thermal motion is included.

Top 6 peaks for 2θ from 5° to 70°, low angle first:
- 2θ 12.03, d 7.354, I 780
- 2θ 24.21, d 3.677, I 479
- 2θ 31.13, d 2.873, I 1000
- 2θ 34.20, d 2.622, I 244
- 2θ 37.81, d 2.380, I 254
- 2θ 47.14, d 1.928, I 365

Structure:
```
data_Be2SbP
_chemical_formula_sum 'Be2 Sb1 P1'
_cell_length_a 3.2628
_cell_length_b 3.2628
_cell_length_c 7.3539
_cell_angle_alpha 90.00
_cell_angle_beta 90.00
_cell_angle_gamma 106.94
_symmetry_space_group_name_H-M 'P 1'
_symmetry_Int_Tables_number 1
_symmetry_space_group_name_Hall 'P 1'
loop_
_atom_site_label
_atom_site_type_symbol
_atom_site_fract_x
_atom_site_fract_y
_atom_site_fract_z
Be1 Be 0.0000 0.0000 0.0000
Be2 Be 0.5000 0.5000 0.1569
Sb1 Sb 0.5000 0.5000 0.7855
P1 P 0.0000 0.0000 0.2828
```